Structure and simulated X-ray powder pattern of Dy3Sc4Sb4 (a DFT-relaxed cell (GGA-PBE, Alexandria); Cu Kα (λ = 1.5418 Å)).
Intensities are scaled so that the largest is 100.

Cell and atoms:
```
11
Lattice="-2.074 4.443 7.768 2.074 -4.443 7.768 2.074 4.443 -7.768" Properties=species:S:1:pos:R:3 pbc="T T T"
Dy 0.000 0.000 0.000
Dy 2.074 0.000 6.012
Dy 0.000 4.443 1.755
Sc 2.074 1.780 -2.739
Sc 2.074 1.780 2.739
Sc 0.000 2.663 5.029
Sc 0.000 2.663 10.507
Sb 0.000 0.000 3.630
Sb 2.074 2.563 0.000
Sb 0.000 1.881 7.768
Sb 0.000 0.000 11.905
```

Largest 10 diffraction maxima, by angle, 10 to 90 degrees two-theta:
- 20.0°, d 4.443, rel. 17
- 30.0°, d 2.976, rel. 100
- 30.5°, d 2.933, rel. 31
- 33.2°, d 2.701, rel. 89
- 34.9°, d 2.571, rel. 21
- 40.6°, d 2.222, rel. 18
- 42.1°, d 2.144, rel. 16
- 43.6°, d 2.074, rel. 23
- 44.2°, d 2.048, rel. 17
- 61.6°, d 1.506, rel. 24

Structure and simulated X-ray powder pattern of Ce6PuHg3 (a DFT-relaxed cell (GGA-PBE, Alexandria); Cu Kα (λ = 1.5418 Å)).
Intensities are scaled so that the largest is 100.

Cell and atoms:
```
20
Lattice="5.260 3.037 5.563 -5.260 3.037 5.563 0.000 -6.074 5.563" Properties=species:S:1:pos:R:3 pbc="T T T"
Ce -3.529 -2.038 9.699
Ce -1.725 -0.996 6.877
Ce 0.000 -4.075 6.990
Ce -3.529 2.038 6.990
Ce 0.000 -1.992 9.813
Ce -1.725 0.996 9.813
Ce 1.725 -0.996 6.877
Ce 0.000 1.992 6.877
Ce 3.529 -2.038 9.699
Ce 0.000 4.075 9.699
Ce 1.725 0.996 9.813
Ce 3.529 2.038 6.990
Pu 0.000 0.000 0.000
Pu 0.000 0.000 8.345
Hg 0.000 -2.112 4.219
Hg -1.829 1.056 4.219
Hg 1.829 1.056 4.219
Hg -1.829 -1.056 12.470
Hg 1.829 -1.056 12.471
Hg 0.000 2.112 12.471
```

Largest 10 diffraction maxima, by angle, 10 to 90 degrees two-theta:
- 28.0°, d 3.183, rel. 11
- 29.4°, d 3.037, rel. 11
- 32.2°, d 2.782, rel. 17
- 33.6°, d 2.666, rel. 100
- 44.2°, d 2.051, rel. 28
- 52.2°, d 1.753, rel. 26
- 58.3°, d 1.583, rel. 20
- 62.6°, d 1.483, rel. 15
- 63.5°, d 1.465, rel. 16
- 86.6°, d 1.124, rel. 14

Structure and simulated X-ray powder pattern of Ba8Ir2Br (a DFT-relaxed cell (GGA-PBE, Alexandria); Cu Kα (λ = 1.5418 Å)).
Intensities are scaled so that the largest is 100.

Cell and atoms:
```
11
Lattice="6.561 0.000 0.000 0.001 10.315 0.000 0.001 5.151 8.940" Properties=species:S:1:pos:R:3 pbc="T T T"
Ba 1.613 5.157 2.981
Ba 1.632 7.820 7.419
Ba 1.632 12.815 7.389
Ba 1.632 10.298 3.074
Ba 4.932 5.168 5.866
Ba 4.932 2.651 1.552
Ba 4.932 7.646 1.521
Ba 4.950 10.309 5.959
Ir 1.832 10.309 5.959
Ir 4.732 5.157 2.981
Br 3.281 0.000 0.000
```

Largest 10 diffraction maxima, by angle, 10 to 90 degrees two-theta:
- 16.8°, d 5.289, rel. 62
- 17.2°, d 5.160, rel. 54
- 19.9°, d 4.468, rel. 72
- 24.1°, d 3.693, rel. 80
- 27.2°, d 3.281, rel. 49
- 29.7°, d 3.003, rel. 22
- 33.9°, d 2.644, rel. 60
- 34.8°, d 2.580, rel. 100
- 44.7°, d 2.028, rel. 75
- 67.7°, d 1.384, rel. 26